No. 1
# Tm2GePIr6
Simulated XRD peak list, CuKα. Input: DFT lattice parameters and positions (PBE).

Largest 6 diffraction maxima, in order of rising 2θ, 10° ≤ 2θ ≤ 90°:
d_spacing  I_rel
2.924  54
2.571  41
2.288  100
2.234  43
2.156  52
2.084  44

Atomic structure:
Cell lengths 5.399, 8.625, 7.955 Å; angles 90.00, 90.00, 90.00 degrees
Fractional positions:
Tm 0.250 0.029 0.211
Tm 0.250 0.471 0.211
Tm 0.750 0.529 0.789
Tm 0.750 0.971 0.789
Ge 0.250 0.750 0.787
Ge 0.750 0.250 0.213
P 0.250 0.250 0.727
P 0.750 0.750 0.273
Ir 0.002 0.250 0.470
Ir 0.006 0.750 0.045
Ir 0.250 0.006 0.593
Ir 0.250 0.494 0.593
Ir 0.494 0.750 0.045
Ir 0.498 0.250 0.470
Ir 0.502 0.750 0.530
Ir 0.506 0.250 0.955
Ir 0.750 0.506 0.407
Ir 0.750 0.994 0.407
Ir 0.994 0.250 0.955
Ir 0.998 0.750 0.530

No. 2
# Pa3Ge3Ir
Simulated XRD peak list, CuKα. Input: DFT lattice parameters and positions (PBE).

Largest 6 diffraction maxima, in order of rising 2θ, 10° ≤ 2θ ≤ 90°:
d_spacing  I_rel
2.763  97
2.722  77
2.698  37
2.648  45
2.245  100
2.102  58

Atomic structure:
Cell lengths 5.702, 5.702, 14.288 Å; angles 108.03, 108.03, 43.26 degrees
Fractional positions:
Pa 0.027 0.027 0.380
Pa 0.100 0.100 0.924
Pa 0.239 0.239 0.234
Pa 0.761 0.761 0.766
Pa 0.900 0.900 0.076
Pa 0.973 0.973 0.620
Ge 0.364 0.364 0.463
Ge 0.374 0.374 0.923
Ge 0.486 0.486 0.770
Ge 0.514 0.514 0.230
Ge 0.626 0.626 0.077
Ge 0.636 0.636 0.537
Ir 0.259 0.259 0.621
Ir 0.741 0.741 0.379

No. 3
# Pm2PaGe3Ir4
Simulated XRD peak list, CuKα. Input: DFT lattice parameters and positions (PBE).

Largest 6 diffraction maxima, in order of rising 2θ, 10° ≤ 2θ ≤ 90°:
d_spacing  I_rel
3.374  19
2.785  25
2.646  100
2.132  53
2.035  34
1.310  23

Atomic structure:
Cell lengths 4.264, 4.264, 11.032 Å; angles 90.00, 90.00, 90.00 degrees
Fractional positions:
Pm 0.000 0.500 0.223
Pm 0.500 0.000 0.777
Pa 0.000 0.000 0.500
Ge 0.000 0.500 0.876
Ge 0.500 0.000 0.124
Ge 0.500 0.500 0.500
Ir 0.000 0.000 0.000
Ir 0.000 0.500 0.651
Ir 0.500 0.000 0.349
Ir 0.500 0.500 0.000

No. 4
# PaGeIrPt
Simulated XRD peak list, CuKα. Input: DFT lattice parameters and positions (PBE).

Largest 6 diffraction maxima, in order of rising 2θ, 10° ≤ 2θ ≤ 90°:
d_spacing  I_rel
2.709  92
2.488  100
2.431  61
2.047  44
1.998  74
1.558  49

Atomic structure:
Cell lengths 3.996, 3.996, 9.536 Å; angles 90.00, 90.00, 90.00 degrees
Fractional positions:
Pa 0.250 0.250 0.223
Pa 0.750 0.750 0.777
Ge 0.250 0.250 0.652
Ge 0.750 0.750 0.348
Ir 0.250 0.750 0.500
Ir 0.750 0.250 0.500
Pt 0.250 0.250 0.918
Pt 0.750 0.750 0.082